# 1
Structure and computed powder X-ray diffraction pattern of Sr2GaReO6 (the PBE geometry in the Materials Project; a wavelength of 1.5418 Å).

```
Sr2GaReO6
1.0
0.0000 3.9642 3.9642
3.9642 0.0000 3.9642
3.9642 3.9642 0.0000
Sr Ga Re O
2 1 1 6
Direct
0.2500 0.2500 0.2500
0.7500 0.7500 0.7500
0.0000 0.0000 0.0000
0.5000 0.5000 0.5000
0.2503 0.2503 0.7497
0.2503 0.7497 0.2503
0.2503 0.7497 0.7497
0.7497 0.2503 0.2503
0.7497 0.2503 0.7497
0.7497 0.7497 0.2503
```

Principal peaks in the range 10° ≤ 2θ ≤ 90°, by intensity:
| 2θ (°) | I (rel.) |
| --- | --- |
| 31.93 | 100 |
| 56.90 | 40 |
| 45.78 | 32 |
| 66.74 | 19 |
| 75.90 | 17 |
| 19.39 | 17 |
| 22.43 | 10 |
| 37.63 | 10 |
| 84.70 | 7 |
| 50.15 | 4 |
| 51.55 | 4 |
| 60.70 | 3 |



# 2
Structure and computed powder X-ray diffraction pattern of Ga3S2O15 (the PBE geometry in the Materials Project; a wavelength of 1.5418 Å).

```
Ga3S2O15
1.0
3.6264 2.0937 5.6123
-3.6264 2.0937 5.6123
0.0000 -4.1874 5.6123
Ga S O
3 2 15
Direct
0.0000 0.5000 0.5000
0.5000 0.0000 0.5000
0.5000 0.5000 0.0000
0.1887 0.1887 0.1887
0.8113 0.8113 0.8113
0.0041 0.6680 0.6680
0.1027 0.1027 0.1027
0.2579 0.2579 0.5965
0.2579 0.5965 0.2579
0.3320 0.3320 0.9959
0.3320 0.9959 0.3320
0.4035 0.7421 0.7421
0.5000 0.5000 0.5000
0.5965 0.2579 0.2579
0.6680 0.0041 0.6680
0.6680 0.6680 0.0041
0.7421 0.4035 0.7421
0.7421 0.7421 0.4035
0.8973 0.8973 0.8973
0.9959 0.3320 0.3320
```

Principal peaks in the range 10° ≤ 2θ ≤ 90°, by intensity:
| 2θ (°) | I (rel.) |
| --- | --- |
| 28.92 | 100 |
| 17.62 | 85 |
| 29.32 | 67 |
| 15.79 | 39 |
| 50.32 | 29 |
| 46.28 | 28 |
| 15.05 | 28 |
| 40.15 | 26 |
| 30.38 | 22 |
| 35.67 | 22 |
| 62.60 | 20 |
| 60.82 | 19 |